# FeP4O12
Calculated X-ray powder pattern, Cu Kα X-rays. Input: a structure optimized by DFT (PBE+U).

Main lines, low angle first (10 to 90 degrees two-theta):
10.56°, rel. 33; 14.19°, rel. 100; 17.40°, rel. 34; 22.55°, rel. 30; 25.78°, rel. 22; 25.90°, rel. 13; 26.14°, rel. 15; 33.70°, rel. 20

Cell and atoms:
```
FeP4O12
1.0
8.4430 -6.2394 0.0000
8.4430 6.2394 0.0000
-0.6520 0.0000 5.0889
Fe P O
2 8 24
direct
0.0000 0.5000 0.0000
0.5000 0.0000 0.0000
0.1421 0.7107 0.8064
0.2019 0.4432 0.5291
0.2893 0.8579 0.1936
0.4432 0.2019 0.5291
0.5568 0.7981 0.4709
0.7107 0.1421 0.8064
0.7981 0.5568 0.4709
0.8579 0.2893 0.1936
0.0491 0.6691 0.9633
0.0738 0.8252 0.6389
0.1055 0.4123 0.6934
0.1700 0.4386 0.2368
0.1748 0.9262 0.3611
0.2285 0.5840 0.6316
0.2646 0.7354 0.0000
0.3309 0.9509 0.0367
0.3501 0.3501 0.5937
0.4123 0.1055 0.6934
0.4160 0.7715 0.3684
0.4386 0.1700 0.2368
0.5614 0.8300 0.7632
0.5840 0.2285 0.6316
0.5877 0.8945 0.3066
0.6499 0.6499 0.4063
0.6691 0.0491 0.9633
0.7354 0.2646 0.0000
0.7715 0.4160 0.3684
0.8252 0.0738 0.6389
0.8300 0.5614 0.7632
0.8945 0.5877 0.3066
0.9262 0.1748 0.3611
0.9509 0.3309 0.0367
```